Li7Mn4CoO12: theoretical powder diffractogram (λ = 1.5418 Å (Cu Kα)), based on a PBE+U-relaxed structure.
Lines closer than 0.1° are merged.

Atomic structure:
Cell: 5.083 5.935 7.769 Å, 102.43 96.06 106.34°
Sites, in units of the cell vectors:
1 Li 0.000 0.000 0.000
2 Li 0.002 0.324 0.342
3 Li 0.009 0.485 0.012
4 Li 0.017 0.152 0.690
5 Li 0.019 0.827 0.343
6 Li 0.508 0.076 0.848
7 Li 0.997 0.657 0.685
8 Mn 0.501 0.570 0.848
9 Mn 0.507 0.238 0.517
10 Mn 0.508 0.744 0.516
11 Mn 0.514 0.917 0.175
12 Co 0.508 0.401 0.171
13 O 0.272 0.306 0.925
14 O 0.273 0.432 0.607
15 O 0.283 0.777 0.941
16 O 0.285 0.109 0.273
17 O 0.286 0.959 0.585
18 O 0.293 0.643 0.269
19 O 0.725 0.520 0.438
20 O 0.726 0.838 0.756
21 O 0.727 0.371 0.754
22 O 0.737 0.712 0.083
23 O 0.741 0.049 0.420
24 O 0.743 0.182 0.104

The 10 most intense peaks (5 to 70 degrees two-theta), sorted by position:
| (hkl) | 2theta | d (Å) | Rel. int. |
| --- | --- | --- | --- |
| 1 0 0 | 18.5 | 4.800 | 100 |
| 0 2 -2 | 35.2 | 2.550 | 15 |
| 0 0 3 | 36.1 | 2.490 | 25 |
| 1 2 -2 | 42.9 | 2.109 | 31 |
| -2 2 1 | 43.8 | 2.066 | 58 |
| 1 2 1 | 47.8 | 1.905 | 8 |
| -3 2 1 | 57.9 | 1.593 | 10 |
| 1 -4 1 | 62.7 | 1.483 | 16 |
| 2 2 1 | 63.3 | 1.470 | 15 |
| -1 2 4 | 64.2 | 1.450 | 8 |